Entry 1:
Starting from a DFT-relaxed cell (PBE, the Materials Project), the powder diffractogram of HgOsO3 was simulated for λ = 1.5418 Å (Cu Kα).

a b c (Å): 3.9546 3.9546 3.9546
angles (deg): 90.00 90.00 90.00
Space group Pm-3m (No. 221)
Unique sites:
Hg 0.0000 0.0000 0.0000 (multiplicity 1)
Os 0.5000 0.5000 0.5000 (multiplicity 1)
O 0.0000 0.5000 0.5000 (multiplicity 3)

The 5 most intense peaks (2θ from 5° to 70°), in order of falling intensity:
index  two_theta  I (rel.)
1 1 0  32.0  100.0
2 1 1  57.0  40.5
2 0 0  45.9  25.6
2 2 0  66.9  16.2
1 1 1  39.5  1.1

***

Entry 2:
Starting from a DFT-relaxed cell (PBE, the Materials Project), the powder diffractogram of MgBi2O4 was simulated for λ = 1.5418 Å (Cu Kα).

a b c (Å): 3.2753 11.2712 11.1843
angles (deg): 90.00 90.00 90.00
Space group Cmcm (No. 63)
Unique sites:
Mg 0.0000 0.1112 0.2500 (multiplicity 4)
Bi 0.0000 0.3680 0.0801 (multiplicity 8)
O 0.0000 0.0000 0.0000 (multiplicity 4)
O 0.0000 0.2835 0.6241 (multiplicity 8)
O 0.0000 0.4923 0.2500 (multiplicity 4)

The 10 most intense peaks (2θ from 5° to 70°), in order of falling intensity:
index  two_theta  I (rel.)
0 2 3  28.7  100.0
0 2 1  17.6  46.1
0 0 2  15.8  41.6
1 1 0  28.4  40.5
1 1 3  37.4  39.1
1 3 0  36.4  33.8
0 4 0  31.8  30.1
1 5 3  55.3  23.2
1 3 2  39.9  22.8
2 2 3  64.3  21.8